[1]
Calculated powder diffractogram
Compound: Dy2MoWN6
Radiation: Cu Kα, 1.54184 Å
Structure: DFT lattice parameters and positions (PBE)
Kinematic intensities with the Lorentz-polarization factor, no thermal factor.

Top 8 peaks for 5° ≤ 2θ ≤ 70°, low angle first:
two_theta	I_rel	h k l
30.1	100	1 1 1
33.5	39	2 0 0
37.7	10	0 0 2
44.9	11	1 1 2
48.1	19	2 2 0
51.3	21	2 0 2
57.8	32	3 1 1
62.7	10	2 2 2

Atomic structure:
```
data_Dy2MoWN6
_cell_length_a 5.350
_cell_length_b 5.350
_cell_length_c 4.771
_cell_angle_alpha 90.00
_cell_angle_beta 90.00
_cell_angle_gamma 90.00
_space_group_name_H-M_alt 'P 4 m m'
_space_group_IT_number 99
loop_
_space_group_symop_operation_xyz
'x,y,z'
'-y,x,z'
'-x,-y,z'
'y,-x,z'
'-x,y,z'
'y,x,z'
'x,-y,z'
'-y,-x,z'
loop_
_atom_site_label
_atom_site_fract_x
_atom_site_fract_y
_atom_site_fract_z
Dy1 0.000 0.500 0.000
Mo1 0.000 0.000 0.580
W1 0.500 0.500 0.583
N1 0.000 0.000 0.206
N2 0.250 0.250 0.714
N3 0.500 0.500 0.203
```


[2]
Calculated powder diffractogram
Compound: Nd6Sm2Ho3
Radiation: Cu Kα, 1.54184 Å
Structure: DFT lattice parameters and positions (PBE)
Kinematic intensities with the Lorentz-polarization factor, no thermal factor.

Top 8 peaks for 5° ≤ 2θ ≤ 70°, low angle first:
two_theta	I_rel	h k l
30.2	100	0 1 2
34.9	34	2 0 1
35.1	17	1 -3 0
50.3	24	1 3 1
59.7	14	3 2 0
59.8	14	4 -1 0
59.9	7	-1 4 2
59.9	7	2 -5 2

Atomic structure:
```
data_Nd6Sm2Ho3
_cell_length_a 6.286
_cell_length_b 8.090
_cell_length_c 8.125
_cell_angle_alpha 107.44
_cell_angle_beta 97.30
_cell_angle_gamma 104.87
_space_group_name_H-M_alt 'P -1'
_space_group_IT_number 2
loop_
_space_group_symop_operation_xyz
'x,y,z'
'-x,-y,-z'
loop_
_atom_site_label
_atom_site_fract_x
_atom_site_fract_y
_atom_site_fract_z
Nd1 0.047 0.182 0.409
Nd2 0.137 0.546 0.231
Nd3 0.319 0.272 0.865
Sm1 0.229 0.910 0.047
Ho1 0.410 0.637 0.681
Ho2 0.500 0.000 0.500
```


[3]
Calculated powder diffractogram
Compound: Ho2ThMg2In2
Radiation: Cu Kα, 1.54184 Å
Structure: DFT lattice parameters and positions (PBE)
Kinematic intensities with the Lorentz-polarization factor, no thermal factor.

Top 8 peaks for 5° ≤ 2θ ≤ 70°, low angle first:
two_theta	I_rel	h k l
20.7	83	1 0 1
31.6	82	1 0 7
34.4	86	0 1 8
35.7	100	1 1 0
48.4	25	0 2 7
50.4	29	2 0 8
63.2	29	1 2 8
65.2	30	1 1 15

Atomic structure:
```
data_Ho2ThMg2In2
_cell_length_a 5.0337
_cell_length_b 5.0337
_cell_length_c 26.0775
_cell_angle_alpha 90.00
_cell_angle_beta 90.00
_cell_angle_gamma 120.00
_space_group_name_H-M_alt 'R -3 m'
_space_group_IT_number 166
_space_group_name_Hall '-R 3 2"'
loop_
_atom_site_label
_atom_site_fract_x
_atom_site_fract_y
_atom_site_fract_z
Ho1 0.0000 0.0000 0.1302
Th1 0.0000 0.0000 0.0000
Mg1 0.0000 0.0000 0.4063
In1 0.0000 0.0000 0.2614
```


[4]
Calculated powder diffractogram
Compound: Er5Sb4Te
Radiation: Cu Kα, 1.54184 Å
Structure: DFT lattice parameters and positions (PBE)
Kinematic intensities with the Lorentz-polarization factor, no thermal factor.

Top 8 peaks for 5° ≤ 2θ ≤ 70°, low angle first:
two_theta	I_rel	h k l
25.1	4	1 1 0
29.0	100	0 2 0
41.5	76	2 0 0
49.1	2	1 3 0
51.5	27	2 2 0
60.2	13	0 4 0
66.3	1	3 1 0
68.2	34	3 0 5

Atomic structure:
```
data_Er5Sb4Te
_cell_length_a 4.349
_cell_length_b 6.143
_cell_length_c 21.754
_cell_angle_alpha 90.00
_cell_angle_beta 90.00
_cell_angle_gamma 90.00
_space_group_name_H-M_alt 'I m m m'
_space_group_IT_number 71
_space_group_name_Hall '-I 2 2'
loop_
_atom_site_label
_atom_site_fract_x
_atom_site_fract_y
_atom_site_fract_z
Er1 0.000 0.000 0.000
Er2 0.000 0.000 0.199
Er3 0.000 0.000 0.395
Sb1 0.000 0.500 0.201
Sb2 0.000 0.500 0.401
Te1 0.000 0.500 0.000
```


[5]
Calculated powder diffractogram
Compound: NaPu2TlCl8
Radiation: Cu Kα, 1.54184 Å
Structure: DFT lattice parameters and positions (PBE)
Kinematic intensities with the Lorentz-polarization factor, no thermal factor.

Top 8 peaks for 5° ≤ 2θ ≤ 70°, low angle first:
two_theta	I_rel	h k l
17.8	100	1 0 -1
19.1	74	1 0 1
24.5	49	0 2 1
24.7	72	1 2 0
35.4	36	1 2 -2
35.8	51	2 2 -1
37.1	35	2 2 1
44.8	32	0 2 3

Atomic structure:
```
data_NaPu2TlCl8
_cell_length_a 6.720
_cell_length_b 8.560
_cell_length_c 6.907
_cell_angle_alpha 90.00
_cell_angle_beta 93.77
_cell_angle_gamma 90.00
_space_group_name_H-M_alt 'P 1 2/m 1'
_space_group_IT_number 10
loop_
_space_group_symop_operation_xyz
'x,y,z'
'-x,-y,-z'
'-x,y,-z'
'x,-y,z'
loop_
_atom_site_label
_atom_site_fract_x
_atom_site_fract_y
_atom_site_fract_z
Na1 0.000 0.000 0.000
Pu1 0.500 0.245 0.500
Tl1 0.000 0.500 0.000
Cl1 0.251 0.227 0.184
Cl2 0.288 0.000 0.649
Cl3 0.292 0.500 0.633
```


[6]
Calculated powder diffractogram
Compound: Pu2AlO11
Radiation: Cu Kα, 1.54184 Å
Structure: DFT lattice parameters and positions (PBE)
Kinematic intensities with the Lorentz-polarization factor, no thermal factor.

Top 8 peaks for 5° ≤ 2θ ≤ 70°, low angle first:
two_theta	I_rel	h k l
18.3	49	2 0 0
18.7	45	2 0 -2
22.2	100	0 2 1
26.3	55	0 0 2
28.5	20	1 3 -1
34.5	17	4 2 -1
34.8	20	4 2 -3
44.0	21	0 2 3

Atomic structure:
```
data_Pu2AlO11
_cell_length_a 13.556
_cell_length_b 9.947
_cell_length_c 9.501
_cell_angle_alpha 90.00
_cell_angle_beta 134.48
_cell_angle_gamma 90.00
_space_group_name_H-M_alt 'C 1 c 1'
_space_group_IT_number 9
loop_
_space_group_symop_operation_xyz
'x,y,z'
'x,-y,z+1/2'
'x+1/2,y+1/2,z'
'x+1/2,-y+1/2,z+1/2'
loop_
_atom_site_label
_atom_site_fract_x
_atom_site_fract_y
_atom_site_fract_z
Pu1 0.000 0.093 0.000
Pu2 0.000 0.331 0.510
Al1 0.250 0.250 0.495
O1 0.000 0.118 0.526
O2 0.000 0.339 0.923
O3 0.134 0.342 0.777
O4 0.137 0.064 0.011
O5 0.138 0.338 0.498
O6 0.144 0.147 0.280
O7 0.355 0.353 0.491
O8 0.362 0.162 0.722
O9 0.363 0.436 0.236
O10 0.366 0.159 0.010
O11 0.499 0.085 0.529
```


[7]
Calculated powder diffractogram
Compound: NdSmPtBr
Radiation: Cu Kα, 1.54184 Å
Structure: DFT lattice parameters and positions (PBE)
Kinematic intensities with the Lorentz-polarization factor, no thermal factor.

Top 8 peaks for 5° ≤ 2θ ≤ 70°, low angle first:
two_theta	I_rel	h k l
11.3	51	0 0 3
25.7	33	0 1 2
31.2	100	0 1 5
36.5	21	1 0 7
39.5	12	0 1 8
43.3	45	1 1 0
46.0	26	1 0 10
54.3	21	2 0 5

Atomic structure:
```
data_NdSmPtBr
_cell_length_a 4.1810
_cell_length_b 4.1810
_cell_length_c 23.5413
_cell_angle_alpha 90.00
_cell_angle_beta 90.00
_cell_angle_gamma 120.00
_space_group_name_H-M_alt 'R 3 m'
_space_group_IT_number 160
_space_group_name_Hall 'R 3 -2"'
loop_
_atom_site_label
_atom_site_fract_x
_atom_site_fract_y
_atom_site_fract_z
Nd1 0.0000 0.0000 0.0000
Sm1 0.0000 0.0000 0.2026
Pt1 0.0000 0.0000 0.6000
Br1 0.0000 0.0000 0.7712
```


[8]
Calculated powder diffractogram
Compound: Pm7Pb4S4
Radiation: Cu Kα, 1.54184 Å
Structure: DFT lattice parameters and positions (PBE)
Kinematic intensities with the Lorentz-polarization factor, no thermal factor.

Top 8 peaks for 5° ≤ 2θ ≤ 70°, low angle first:
two_theta	I_rel	h k l
8.1	12	1 1 0
26.4	27	0 0 2
31.9	100	5 0 1
32.2	20	3 1 2
34.9	11	6 0 0
37.2	19	4 2 2
50.1	29	5 0 3
54.3	7	0 0 4

Atomic structure:
```
data_Pm7Pb4S4
_cell_length_a 15.438
_cell_length_b 15.438
_cell_length_c 6.762
_cell_angle_alpha 90.00
_cell_angle_beta 90.00
_cell_angle_gamma 90.00
_space_group_name_H-M_alt 'I 4/m m m'
_space_group_IT_number 139
_space_group_name_Hall '-I 4 2'
loop_
_atom_site_label
_atom_site_fract_x
_atom_site_fract_y
_atom_site_fract_z
Pm1 0.000 0.000 0.238
Pm2 0.000 0.287 0.000
Pm3 0.000 0.382 0.500
Pm4 0.214 0.214 0.500
Pb1 0.000 0.176 0.500
Pb2 0.132 0.132 0.000
S1 0.145 0.355 0.250
```